Record 1
Calculated powder diffraction line list
Compound: Ca12Zn6Hg
Radiation: Cu Kα (weighted mean of Kα1 and Kα2)
Structure: the PBE geometry in Alexandria

Atomic structure:
```
data_Ca12Zn6Hg
_chemical_formula_sum 'Ca24 Zn12 Hg2'
_cell_length_a 10.494
_cell_length_b 10.494
_cell_length_c 10.494
_cell_angle_alpha 90.00
_cell_angle_beta 90.00
_cell_angle_gamma 90.00
_space_group_name_H-M_alt 'I m -3'
_space_group_IT_number 204
_space_group_name_Hall '-I 2 2 3'
loop_
_atom_site_label
_atom_site_fract_x
_atom_site_fract_y
_atom_site_fract_z
Ca1 0.000 0.290 0.184
Zn1 0.000 0.123 0.500
Hg1 0.000 0.000 0.000
```

The 8 most intense peaks (15 to 90 degrees two-theta), by angle:
16.90 deg, I = 46, hkl 2 0 0
29.48 deg, I = 28, hkl 2 2 2
31.91 deg, I = 100, hkl 3 1 2
34.18 deg, I = 19, hkl 4 0 0
36.32 deg, I = 25, hkl 4 1 1
44.00 deg, I = 41, hkl 4 3 1
53.85 deg, I = 19, hkl 5 2 3
62.59 deg, I = 18, hkl 5 3 4

Record 2
Calculated powder diffraction line list
Compound: Ag8Sn3
Radiation: Cu Kα (weighted mean of Kα1 and Kα2)
Structure: the PBE geometry in Alexandria

Atomic structure:
```
data_Ag8Sn3
_chemical_formula_sum 'Ag16 Sn6'
_cell_length_a 9.388
_cell_length_b 4.314
_cell_length_c 11.065
_cell_angle_alpha 90.00
_cell_angle_beta 104.14
_cell_angle_gamma 90.00
_space_group_name_H-M_alt 'C 1 2/m 1'
_space_group_IT_number 12
loop_
_space_group_symop_operation_xyz
'x,y,z'
'-x,-y,-z'
'-x,y,-z'
'x,-y,z'
'x+1/2,y+1/2,z'
'-x+1/2,-y+1/2,-z'
'-x+1/2,y+1/2,-z'
'x+1/2,-y+1/2,z'
loop_
_atom_site_label
_atom_site_fract_x
_atom_site_fract_y
_atom_site_fract_z
Ag1 0.048 0.000 0.320
Ag2 0.136 0.000 0.954
Ag3 0.177 0.500 0.771
Ag4 0.225 0.000 0.590
Sn1 0.000 0.500 0.500
Sn2 0.098 0.500 0.143
```

The 8 most intense peaks (15 to 90 degrees two-theta), by angle:
35.80 deg, I = 100, hkl 1 1 3
36.73 deg, I = 94, hkl 3 1 -2
41.91 deg, I = 64, hkl 0 2 0
42.57 deg, I = 30, hkl 4 0 1
60.76 deg, I = 21, hkl 2 2 -5
61.25 deg, I = 20, hkl 4 2 1
72.03 deg, I = 12, hkl 1 1 -8
72.54 deg, I = 12, hkl 1 3 3

Record 3
Calculated powder diffraction line list
Compound: Nd2Y3Ga4
Radiation: Cu Kα (weighted mean of Kα1 and Kα2)
Structure: the PBE geometry in Alexandria

Atomic structure:
```
data_Nd2Y3Ga4
_chemical_formula_sum 'Nd4 Y6 Ga8'
_cell_length_a 8.007
_cell_length_b 8.034
_cell_length_c 7.631
_cell_angle_alpha 90.00
_cell_angle_beta 106.70
_cell_angle_gamma 90.00
_space_group_name_H-M_alt 'P 1 21/c 1'
_space_group_IT_number 14
loop_
_space_group_symop_operation_xyz
'x,y,z'
'-x,-y,-z'
'-x,y+1/2,-z+1/2'
'x,-y+1/2,z+1/2'
loop_
_atom_site_label
_atom_site_fract_x
_atom_site_fract_y
_atom_site_fract_z
Nd1 0.192 0.182 0.076
Y1 0.241 0.675 0.251
Y2 0.500 0.000 0.500
Ga1 0.081 0.529 0.869
Ga2 0.494 0.119 0.878
```

The 8 most intense peaks (15 to 90 degrees two-theta), by angle:
29.34 deg, I = 25, hkl 1 2 1
30.63 deg, I = 31, hkl 2 1 -2
32.02 deg, I = 100, hkl 1 1 2
32.27 deg, I = 35, hkl 2 2 0
32.70 deg, I = 22, hkl 1 2 -2
35.10 deg, I = 21, hkl 3 0 0
35.71 deg, I = 36, hkl 0 3 1
37.09 deg, I = 34, hkl 1 1 -3

Record 4
Calculated powder diffraction line list
Compound: Rb2Cu3P4O12F4
Radiation: Cu Kα (weighted mean of Kα1 and Kα2)
Structure: the PBE geometry in Alexandria

Atomic structure:
```
data_Rb2Cu3P4O12F4
_chemical_formula_sum 'Rb4 Cu6 P8 O24 F8'
_cell_length_a 8.011
_cell_length_b 9.640
_cell_length_c 9.371
_cell_angle_alpha 90.00
_cell_angle_beta 94.55
_cell_angle_gamma 90.00
_space_group_name_H-M_alt 'P 1 21/c 1'
_space_group_IT_number 14
loop_
_space_group_symop_operation_xyz
'x,y,z'
'-x,-y,-z'
'-x,y+1/2,-z+1/2'
'x,-y+1/2,z+1/2'
loop_
_atom_site_label
_atom_site_fract_x
_atom_site_fract_y
_atom_site_fract_z
Rb1 0.123 0.043 0.189
Cu1 0.389 0.648 0.315
Cu2 0.500 0.000 0.500
P1 0.193 0.683 0.020
P2 0.395 0.189 0.893
O1 0.185 0.667 0.182
O2 0.239 0.669 0.475
O3 0.281 0.567 0.944
O4 0.406 0.165 0.054
O5 0.447 0.078 0.794
O6 0.464 0.164 0.356
F1 0.003 0.664 0.956
F2 0.194 0.205 0.858
```

The 8 most intense peaks (15 to 90 degrees two-theta), by angle:
20.74 deg, I = 43, hkl 0 2 1
25.30 deg, I = 26, hkl 2 1 -1
26.62 deg, I = 55, hkl 2 1 1
28.23 deg, I = 24, hkl 2 0 -2
29.46 deg, I = 44, hkl 1 2 2
30.16 deg, I = 56, hkl 0 1 3
30.59 deg, I = 22, hkl 2 0 2
31.22 deg, I = 100, hkl 1 3 -1

Record 5
Calculated powder diffraction line list
Compound: CeInAgI6
Radiation: Cu Kα (weighted mean of Kα1 and Kα2)
Structure: the PBE geometry in Alexandria

Atomic structure:
```
data_CeInAgI6
_chemical_formula_sum 'Ce2 In2 Ag2 I12'
_cell_length_a 7.7461
_cell_length_b 7.7461
_cell_length_c 15.0304
_cell_angle_alpha 90.00
_cell_angle_beta 90.00
_cell_angle_gamma 120.00
_space_group_name_H-M_alt 'P -3 1 c'
_space_group_IT_number 163
_space_group_name_Hall '-P 3 2c'
loop_
_atom_site_label
_atom_site_fract_x
_atom_site_fract_y
_atom_site_fract_z
Ce1 0.3333 0.6667 0.2500
In1 0.0000 0.0000 0.0000
Ag1 0.3333 0.6667 0.7500
I1 0.0007 0.3549 0.1324
```

The 8 most intense peaks (15 to 90 degrees two-theta), by angle:
17.72 deg, I = 37, hkl 1 0 2
25.88 deg, I = 100, hkl 1 1 2
33.22 deg, I = 69, hkl 1 1 4
40.33 deg, I = 43, hkl 3 0 0
43.00 deg, I = 26, hkl 2 -1 6
48.51 deg, I = 24, hkl 0 0 8
53.21 deg, I = 16, hkl 4 -2 4
64.85 deg, I = 30, hkl 3 0 8

Record 6
Calculated powder diffraction line list
Compound: La2DyHo2Tm
Radiation: Cu Kα (weighted mean of Kα1 and Kα2)
Structure: the PBE geometry in Alexandria

Atomic structure:
```
data_La2DyHo2Tm
_chemical_formula_sum 'La4 Dy2 Ho4 Tm2'
_cell_length_a 7.055
_cell_length_b 5.680
_cell_length_c 9.836
_cell_angle_alpha 90.00
_cell_angle_beta 90.00
_cell_angle_gamma 90.00
_space_group_name_H-M_alt 'P m m a'
_space_group_IT_number 51
loop_
_space_group_symop_operation_xyz
'x,y,z'
'-x,-y,-z'
'-x+1/2,-y,z'
'x+1/2,y,-z'
'x+1/2,-y,-z'
'-x+1/2,y,z'
'-x,y,-z'
'x,-y,z'
loop_
_atom_site_label
_atom_site_fract_x
_atom_site_fract_y
_atom_site_fract_z
La1 0.000 0.000 0.000
La2 0.250 0.500 0.180
Dy1 0.250 0.000 0.657
Ho1 0.250 0.000 0.335
Ho2 0.250 0.500 0.833
Tm1 0.000 0.500 0.500
```

The 8 most intense peaks (15 to 90 degrees two-theta), by angle:
31.20 deg, I = 91, hkl 2 1 1
31.50 deg, I = 100, hkl 0 2 0
44.93 deg, I = 33, hkl 2 2 2
55.90 deg, I = 35, hkl 2 3 1
56.09 deg, I = 19, hkl 0 3 3
61.93 deg, I = 29, hkl 4 2 0
74.58 deg, I = 15, hkl 2 4 2
79.87 deg, I = 14, hkl 4 3 3